Diffraction record for LiLaMg6O8. The powder diffraction line list is calculated, not measured: it uses the PBE geometry in the Materials Project and Cu Kα, 1.54184 Å.

Lattice parameters (Å, degrees): 4.461 4.461 8.944 90.00 90.00 90.00
Positions (direct):
Li 0.000 0.000 0.000
La 0.500 0.500 0.000
Mg 0.000 0.000 0.500
Mg 0.000 0.500 0.267
Mg 0.000 0.500 0.733
Mg 0.500 0.000 0.267
Mg 0.500 0.000 0.733
Mg 0.500 0.500 0.500
O 0.000 0.000 0.265
O 0.000 0.000 0.735
O 0.000 0.500 0.000
O 0.000 0.500 0.500
O 0.500 0.000 0.000
O 0.500 0.000 0.500
O 0.500 0.500 0.273
O 0.500 0.500 0.727

Largest 10 diffraction maxima, by angle, 5° ≤ 2θ ≤ 70°:
9.89°, I = 36; 19.89°, I = 75; 22.27°, I = 89; 28.26°, I = 63; 30.01°, I = 35; 34.80°, I = 45; 40.33°, I = 47; 40.44°, I = 100; 45.42°, I = 34; 58.47°, I = 86